Entry 1:
Starting from a DFT-relaxed cell (PBE, the Materials Project), the powder diffraction line list of CrS2 was computed for copper Kα.
Neutral-atom scattering factors, no anomalous dispersion.

Structure:
```
data_CrS2
_chemical_formula_sum 'Cr4 S8'
_cell_length_a 6.760
_cell_length_b 6.760
_cell_length_c 6.760
_cell_angle_alpha 60.00
_cell_angle_beta 60.00
_cell_angle_gamma 60.00
_space_group_name_H-M_alt 'P 1'
_space_group_IT_number 1
loop_
_space_group_symop_operation_xyz
'x,y,z'
loop_
_atom_site_label
_atom_site_fract_x
_atom_site_fract_y
_atom_site_fract_z
_atom_site_occupancy
Cr1 0.000 0.000 0.000 1
Cr2 0.000 0.000 0.500 1
Cr3 0.000 0.500 0.000 1
Cr4 0.500 0.000 0.000 1
S1 0.239 0.754 0.754 1
S2 0.246 0.246 0.246 1
S3 0.246 0.246 0.761 1
S4 0.246 0.761 0.246 1
S5 0.754 0.239 0.754 1
S6 0.754 0.754 0.239 1
S7 0.754 0.754 0.754 1
S8 0.761 0.246 0.246 1
```

Top 10 peaks for 2θ from 15° to 90°, most intense first:
2θ (°)  d_spacing  I/Imax
37.64  2.390  100
16.06  5.519  75
54.28  1.690  61
31.03  2.882  34
67.93  1.380  20
49.55  1.840  14
56.99  1.616  13
41.16  2.193  11
80.35  1.195  9
70.33  1.339  7


Entry 2:
Starting from a DFT-relaxed cell (PBE, the Materials Project), the powder diffraction line list of CrS2 was computed for copper Kα.
Neutral-atom scattering factors, no anomalous dispersion.

Structure:
```
data_CrS2
_chemical_formula_sum 'Cr3 S6'
_cell_length_a 3.064
_cell_length_b 3.064
_cell_length_c 23.075
_cell_angle_alpha 90.00
_cell_angle_beta 90.00
_cell_angle_gamma 120.00
_space_group_name_H-M_alt 'P 1'
_space_group_IT_number 1
loop_
_space_group_symop_operation_xyz
'x,y,z'
loop_
_atom_site_label
_atom_site_fract_x
_atom_site_fract_y
_atom_site_fract_z
_atom_site_occupancy
Cr1 0.000 0.000 0.000 1
Cr2 0.333 0.667 0.667 1
Cr3 0.667 0.333 0.333 1
S1 0.000 0.000 0.397 1
S2 0.000 0.000 0.603 1
S3 0.333 0.667 0.064 1
S4 0.333 0.667 0.269 1
S5 0.667 0.333 0.731 1
S6 0.667 0.333 0.936 1
```

Top 10 peaks for 2θ from 15° to 90°, most intense first:
2θ (°)  d_spacing  I/Imax
39.16  2.301  100
34.68  2.586  53
52.56  1.741  38
46.50  1.953  28
60.42  1.532  25
43.79  2.067  22
61.73  1.503  19
74.39  1.275  13
63.00  1.475  11
84.16  1.150  9


Entry 3:
Starting from a DFT-relaxed cell (PBE, the Materials Project), the powder diffraction line list of CrS2 was computed for copper Kα.
Neutral-atom scattering factors, no anomalous dispersion.

Structure:
```
data_CrS2
_chemical_formula_sum 'Cr2 S4'
_cell_length_a 5.734
_cell_length_b 3.320
_cell_length_c 10.712
_cell_angle_alpha 90.00
_cell_angle_beta 94.77
_cell_angle_gamma 90.00
_space_group_name_H-M_alt 'P 1'
_space_group_IT_number 1
loop_
_space_group_symop_operation_xyz
'x,y,z'
loop_
_atom_site_label
_atom_site_fract_x
_atom_site_fract_y
_atom_site_fract_z
_atom_site_occupancy
Cr1 0.000 0.000 0.000 1
Cr2 0.500 0.500 0.000 1
S1 0.187 0.500 0.128 1
S2 0.313 0.000 0.872 1
S3 0.687 0.000 0.128 1
S4 0.813 0.500 0.872 1
```

Top 10 peaks for 2θ from 15° to 90°, most intense first:
2θ (°)  d_spacing  I/Imax
36.15  2.485  100
16.61  5.337  74
32.64  2.743  65
41.22  2.190  64
55.66  1.651  49
34.35  2.611  46
38.75  2.324  43
52.33  1.748  31
45.43  1.997  26
69.58  1.351  20


Entry 4:
Starting from a DFT-relaxed cell (PBE, the Materials Project), the powder diffraction line list of Cr19S30 was computed for copper Kα.
Neutral-atom scattering factors, no anomalous dispersion.

Structure:
```
data_Cr19S30
_chemical_formula_sum 'Cr19 S30'
_cell_length_a 8.881
_cell_length_b 10.385
_cell_length_c 10.699
_cell_angle_alpha 80.73
_cell_angle_beta 72.50
_cell_angle_gamma 67.08
_space_group_name_H-M_alt 'P 1'
_space_group_IT_number 1
loop_
_space_group_symop_operation_xyz
'x,y,z'
loop_
_atom_site_label
_atom_site_fract_x
_atom_site_fract_y
_atom_site_fract_z
_atom_site_occupancy
Cr1 0.000 0.000 0.000 1
Cr2 0.025 0.328 0.990 1
Cr3 0.097 0.201 0.600 1
Cr4 0.197 0.400 0.198 1
Cr5 0.202 0.066 0.197 1
Cr6 0.215 0.734 0.185 1
Cr7 0.301 0.600 0.801 1
Cr8 0.380 0.471 0.413 1
Cr9 0.401 0.804 0.400 1
Cr10 0.419 0.125 0.386 1
Cr11 0.581 0.875 0.614 1
Cr12 0.599 0.196 0.600 1
Cr13 0.620 0.529 0.587 1
Cr14 0.699 0.400 0.199 1
Cr15 0.785 0.266 0.815 1
Cr16 0.798 0.934 0.803 1
Cr17 0.803 0.600 0.802 1
Cr18 0.903 0.799 0.400 1
Cr19 0.975 0.672 0.010 1
S1 0.074 0.167 0.834 1
S2 0.078 0.828 0.843 1
S3 0.080 0.508 0.838 1
S4 0.118 0.572 0.359 1
S5 0.125 0.892 0.359 1
S6 0.132 0.230 0.365 1
S7 0.270 0.568 0.033 1
S8 0.274 0.909 0.037 1
S9 0.282 0.231 0.044 1
S10 0.318 0.973 0.559 1
S11 0.322 0.291 0.562 1
S12 0.332 0.632 0.567 1
S13 0.472 0.965 0.236 1
S14 0.473 0.310 0.240 1
S15 0.476 0.629 0.245 1
S16 0.524 0.371 0.755 1
S17 0.527 0.690 0.760 1
S18 0.528 0.035 0.764 1
S19 0.668 0.368 0.433 1
S20 0.678 0.709 0.438 1
S21 0.682 0.027 0.441 1
S22 0.718 0.769 0.956 1
S23 0.726 0.091 0.963 1
S24 0.730 0.432 0.967 1
S25 0.868 0.770 0.635 1
S26 0.875 0.108 0.641 1
S27 0.882 0.428 0.641 1
S28 0.920 0.492 0.162 1
S29 0.922 0.172 0.157 1
S30 0.926 0.833 0.166 1
```

Top 10 peaks for 2θ from 15° to 90°, most intense first:
2θ (°)  d_spacing  I/Imax
33.98  2.638  100
44.40  2.040  95
15.90  5.575  52
52.94  1.730  32
58.45  1.579  19
53.02  1.727  16
29.82  2.996  13
17.91  4.954  12
71.48  1.320  11
71.59  1.318  9


Entry 5:
Starting from a DFT-relaxed cell (PBE, the Materials Project), the powder diffraction line list of CrS2 was computed for copper Kα.
Neutral-atom scattering factors, no anomalous dispersion.

Structure:
```
data_CrS2
_chemical_formula_sum 'Cr4 S8'
_cell_length_a 5.423
_cell_length_b 5.423
_cell_length_c 9.819
_cell_angle_alpha 90.00
_cell_angle_beta 90.00
_cell_angle_gamma 90.00
_space_group_name_H-M_alt 'P 1'
_space_group_IT_number 1
loop_
_space_group_symop_operation_xyz
'x,y,z'
loop_
_atom_site_label
_atom_site_fract_x
_atom_site_fract_y
_atom_site_fract_z
_atom_site_occupancy
Cr1 0.000 0.000 0.000 1
Cr2 0.000 0.500 0.250 1
Cr3 0.500 0.000 0.750 1
Cr4 0.500 0.500 0.500 1
S1 0.220 0.250 0.125 1
S2 0.250 0.720 0.375 1
S3 0.250 0.780 0.875 1
S4 0.280 0.250 0.625 1
S5 0.720 0.750 0.625 1
S6 0.750 0.220 0.875 1
S7 0.750 0.280 0.375 1
S8 0.780 0.750 0.125 1
```

Top 10 peaks for 2θ from 15° to 90°, most intense first:
2θ (°)  d_spacing  I/Imax
29.56  3.022  100
18.69  4.747  89
50.13  1.820  38
56.87  1.619  24
47.42  1.917  22
38.22  2.355  15
46.61  1.949  15
31.94  2.802  11
61.62  1.505  10
62.47  1.487  9


Entry 6:
Starting from a DFT-relaxed cell (PBE, the Materials Project), the powder diffraction line list of Cr4Se3S3 was computed for copper Kα.
Neutral-atom scattering factors, no anomalous dispersion.

Structure:
```
data_Cr4Se3S3
_chemical_formula_sum 'Cr4 Se3 S3'
_cell_length_a 6.594
_cell_length_b 6.594
_cell_length_c 6.594
_cell_angle_alpha 55.56
_cell_angle_beta 55.56
_cell_angle_gamma 55.56
_space_group_name_H-M_alt 'P 1'
_space_group_IT_number 1
loop_
_space_group_symop_operation_xyz
'x,y,z'
loop_
_atom_site_label
_atom_site_fract_x
_atom_site_fract_y
_atom_site_fract_z
_atom_site_occupancy
Cr1 0.000 0.000 0.000 1
Cr2 0.155 0.155 0.155 1
Cr3 0.339 0.339 0.339 1
Cr4 0.670 0.670 0.670 1
Se1 0.252 0.914 0.576 1
Se2 0.576 0.252 0.914 1
Se3 0.914 0.576 0.252 1
S1 0.073 0.400 0.758 1
S2 0.400 0.758 0.073 1
S3 0.758 0.073 0.400 1
```

Top 10 peaks for 2θ from 15° to 90°, most intense first:
2θ (°)  d_spacing  I/Imax
33.32  2.689  100
43.93  2.061  66
51.51  1.774  39
15.95  5.557  25
58.15  1.586  17
69.97  1.345  15
62.74  1.481  15
89.62  1.094  14
85.39  1.137  12
29.06  3.073  11